Record 1
This entry pairs a crystal structure of RbSn5Cl11 with its simulated X-ray powder pattern. Radiation: copper Kα. Structure: a crystal structure in Alexandria, relaxed with GGA-PBE.
No peak broadening, texture or thermal motion is included.

a b c (Å): 8.7978 8.7978 9.2349
angles (deg): 99.25 99.25 114.64
Sites, in units of the cell vectors:
Rb 0.0000 0.0000 0.0000
Sn 0.0567 0.3590 0.6552
Sn 0.3590 0.0567 0.6552
Sn 0.5000 0.5000 0.0000
Sn 0.6410 0.9433 0.3448
Sn 0.9433 0.6410 0.3448
Cl 0.0000 0.0000 0.5000
Cl 0.1391 0.3972 0.9549
Cl 0.1406 0.6997 0.6777
Cl 0.3003 0.8594 0.3223
Cl 0.3972 0.1391 0.9549
Cl 0.4029 0.4029 0.6696
Cl 0.5971 0.5971 0.3304
Cl 0.6028 0.8609 0.0451
Cl 0.6997 0.1406 0.6777
Cl 0.8594 0.3003 0.3223
Cl 0.8609 0.6028 0.0451

Principal peaks in the range 15 to 90 degrees two-theta, low angle first:
| d/Å | Position (°2θ) | intensity |
| --- | --- | --- |
| 5.670 | 15.6 | 62 |
| 4.334 | 20.5 | 44 |
| 4.131 | 21.5 | 63 |
| 3.868 | 23.0 | 38 |
| 3.788 | 23.5 | 38 |
| 2.939 | 30.4 | 77 |
| 2.892 | 30.9 | 58 |
| 2.868 | 31.2 | 100 |
| 2.664 | 33.6 | 67 |
| 2.278 | 39.6 | 46 |

---

Record 2
This entry pairs a crystal structure of Rb2SnCl7 with its simulated X-ray powder pattern. Radiation: copper Kα. Structure: a crystal structure in Alexandria, relaxed with GGA-PBE.
No peak broadening, texture or thermal motion is included.

a b c (Å): 9.6418 9.6418 12.3467
angles (deg): 117.85 117.85 45.10
Sites, in units of the cell vectors:
Rb 0.0059 0.6763 0.9256
Rb 0.3237 0.9941 0.5744
Rb 0.6763 0.0059 0.4256
Rb 0.9941 0.3237 0.0744
Sn 0.2666 0.7334 0.7500
Sn 0.7334 0.2666 0.2500
Cl 0.0695 0.9305 0.2500
Cl 0.1506 0.2161 0.8335
Cl 0.1978 0.7058 0.5277
Cl 0.2161 0.1506 0.3335
Cl 0.2942 0.8022 0.9723
Cl 0.3392 0.4247 0.7144
Cl 0.4247 0.3392 0.2144
Cl 0.5753 0.6608 0.7856
Cl 0.6608 0.5753 0.2856
Cl 0.7058 0.1978 0.0277
Cl 0.7839 0.8494 0.6665
Cl 0.8022 0.2942 0.4723
Cl 0.8494 0.7839 0.1665
Cl 0.9305 0.0695 0.7500

Principal peaks in the range 15 to 90 degrees two-theta, low angle first:
| d/Å | Position (°2θ) | intensity |
| --- | --- | --- |
| 5.163 | 17.2 | 100 |
| 4.320 | 20.6 | 20 |
| 3.533 | 25.2 | 21 |
| 3.399 | 26.2 | 24 |
| 3.129 | 28.5 | 40 |
| 3.036 | 29.4 | 54 |
| 2.809 | 31.9 | 28 |
| 2.561 | 35.0 | 30 |
| 2.285 | 39.4 | 25 |
| 2.274 | 39.6 | 18 |

---

Record 3
This entry pairs a crystal structure of Rb2SrSnCl6 with its simulated X-ray powder pattern. Radiation: copper Kα. Structure: a crystal structure in Alexandria, relaxed with GGA-PBE.
No peak broadening, texture or thermal motion is included.

a b c (Å): 8.0124 8.0124 8.0124
angles (deg): 60.00 60.00 60.00
Sites, in units of the cell vectors:
Rb 0.2500 0.2500 0.2500
Rb 0.7500 0.7500 0.7500
Sr 0.0000 0.0000 0.0000
Sn 0.5000 0.5000 0.5000
Cl 0.2513 0.2513 0.7487
Cl 0.2513 0.7487 0.2513
Cl 0.2513 0.7487 0.7487
Cl 0.7487 0.2513 0.2513
Cl 0.7487 0.2513 0.7487
Cl 0.7487 0.7487 0.2513

Principal peaks in the range 15 to 90 degrees two-theta, low angle first:
| d/Å | Position (°2θ) | intensity |
| --- | --- | --- |
| 4.006 | 22.2 | 100 |
| 2.833 | 31.6 | 79 |
| 2.313 | 38.9 | 48 |
| 2.003 | 45.3 | 55 |
| 1.792 | 51.0 | 23 |
| 1.636 | 56.2 | 19 |
| 1.514 | 61.2 | 27 |
| 1.267 | 75.0 | 24 |
| 1.156 | 83.6 | 18 |
| 1.111 | 87.9 | 16 |

---

Record 4
This entry pairs a crystal structure of RbSr2Cl5 with its simulated X-ray powder pattern. Radiation: copper Kα. Structure: a crystal structure in Alexandria, relaxed with GGA-PBE.
No peak broadening, texture or thermal motion is included.

a b c (Å): 9.1242 8.0208 12.9320
angles (deg): 90.00 90.22 90.00
Sites, in units of the cell vectors:
Rb 0.0113 0.0511 0.3330
Rb 0.0113 0.4489 0.8330
Rb 0.9887 0.5511 0.1670
Rb 0.9887 0.9489 0.6670
Sr 0.2541 0.5635 0.4947
Sr 0.2541 0.9365 0.9947
Sr 0.4979 0.5204 0.1776
Sr 0.4979 0.9796 0.6776
Sr 0.5021 0.0204 0.3224
Sr 0.5021 0.4796 0.8224
Sr 0.7459 0.0635 0.0053
Sr 0.7459 0.4365 0.5053
Cl 0.0317 0.1692 0.0812
Cl 0.0317 0.3308 0.5812
Cl 0.2765 0.6909 0.7139
Cl 0.2765 0.8091 0.2139
Cl 0.2903 0.1682 0.8172
Cl 0.2903 0.3318 0.3172
Cl 0.2919 0.5520 0.9971
Cl 0.2919 0.9480 0.4971
Cl 0.4638 0.1579 0.1020
Cl 0.4638 0.3421 0.6020
Cl 0.5362 0.6579 0.3980
Cl 0.5362 0.8421 0.8980
Cl 0.7081 0.0520 0.5029
Cl 0.7081 0.4480 0.0029
Cl 0.7097 0.6682 0.6828
Cl 0.7097 0.8318 0.1828
Cl 0.7235 0.1909 0.7861
Cl 0.7235 0.3091 0.2861
Cl 0.9683 0.6692 0.4188
Cl 0.9683 0.8308 0.9188

Principal peaks in the range 15 to 90 degrees two-theta, low angle first:
| d/Å | Position (°2θ) | intensity |
| --- | --- | --- |
| 4.010 | 22.2 | 27 |
| 3.794 | 23.4 | 100 |
| 3.728 | 23.9 | 31 |
| 2.934 | 30.5 | 45 |
| 2.731 | 32.8 | 72 |
| 2.633 | 34.1 | 21 |
| 2.384 | 37.7 | 23 |
| 2.281 | 39.5 | 30 |
| 2.271 | 39.7 | 32 |
| 2.171 | 41.6 | 27 |

---

Record 5
This entry pairs a crystal structure of Rb3SrCl6 with its simulated X-ray powder pattern. Radiation: copper Kα. Structure: a crystal structure in Alexandria, relaxed with GGA-PBE.
No peak broadening, texture or thermal motion is included.

a b c (Å): 8.4287 8.4287 8.4287
angles (deg): 60.00 60.00 60.00
Sites, in units of the cell vectors:
Rb 0.0000 0.0000 0.0000
Rb 0.2500 0.2500 0.2500
Rb 0.7500 0.7500 0.7500
Sr 0.5000 0.5000 0.5000
Cl 0.2618 0.2618 0.7382
Cl 0.2618 0.7382 0.2618
Cl 0.2618 0.7382 0.7382
Cl 0.7382 0.2618 0.2618
Cl 0.7382 0.2618 0.7382
Cl 0.7382 0.7382 0.2618

Principal peaks in the range 15 to 90 degrees two-theta, low angle first:
| d/Å | Position (°2θ) | intensity |
| --- | --- | --- |
| 4.214 | 21.1 | 100 |
| 3.441 | 25.9 | 26 |
| 2.980 | 30.0 | 88 |
| 2.433 | 36.9 | 48 |
| 2.107 | 42.9 | 61 |
| 1.885 | 48.3 | 24 |
| 1.720 | 53.2 | 21 |
| 1.593 | 57.9 | 27 |
| 1.333 | 70.7 | 25 |
| 1.217 | 78.6 | 19 |

---

Record 6
This entry pairs a crystal structure of RbSrTlCl4 with its simulated X-ray powder pattern. Radiation: copper Kα. Structure: a crystal structure in Alexandria, relaxed with GGA-PBE.
No peak broadening, texture or thermal motion is included.

a b c (Å): 9.2067 9.2067 9.2067
angles (deg): 144.23 144.23 51.48
Sites, in units of the cell vectors:
Rb 0.0000 0.0000 0.0000
Sr 0.3625 0.3625 0.0000
Tl 0.7113 0.7113 0.0000
Cl 0.1919 0.1919 0.0000
Cl 0.3717 0.8717 0.5000
Cl 0.5396 0.5396 0.0000
Cl 0.8717 0.3717 0.5000

Principal peaks in the range 15 to 90 degrees two-theta, low angle first:
| d/Å | Position (°2θ) | intensity |
| --- | --- | --- |
| 5.352 | 16.6 | 29 |
| 3.999 | 22.2 | 94 |
| 3.953 | 22.5 | 100 |
| 3.602 | 24.7 | 25 |
| 2.878 | 31.1 | 39 |
| 2.827 | 31.6 | 75 |
| 2.300 | 39.2 | 50 |
| 2.274 | 39.6 | 26 |
| 1.999 | 45.4 | 26 |
| 1.977 | 45.9 | 36 |

---

Record 7
This entry pairs a crystal structure of RbSrTl2Cl5 with its simulated X-ray powder pattern. Radiation: copper Kα. Structure: a crystal structure in Alexandria, relaxed with GGA-PBE.
No peak broadening, texture or thermal motion is included.

a b c (Å): 9.1537 9.1537 9.1537
angles (deg): 144.77 129.62 62.96
Sites, in units of the cell vectors:
Rb 0.0000 0.0000 0.0000
Sr 0.5000 0.5000 0.0000
Tl 0.2852 0.7852 0.5000
Tl 0.7148 0.2148 0.5000
Cl 0.1115 0.3672 0.7443
Cl 0.3772 0.6328 0.7443
Cl 0.5000 0.0000 0.5000
Cl 0.6228 0.3672 0.2557
Cl 0.8885 0.6328 0.2557

Principal peaks in the range 15 to 90 degrees two-theta, low angle first:
| d/Å | Position (°2θ) | intensity |
| --- | --- | --- |
| 4.515 | 19.7 | 15 |
| 3.906 | 22.8 | 100 |
| 3.122 | 28.6 | 9 |
| 2.898 | 30.8 | 11 |
| 2.770 | 32.3 | 18 |
| 2.757 | 32.5 | 23 |
| 2.719 | 32.9 | 26 |
| 2.257 | 39.9 | 16 |
| 2.252 | 40.0 | 18 |
| 1.954 | 46.5 | 17 |